# 1
Rb2Li2CeS4: computed PXRD pattern (Cu Kα X-rays), based on a structure optimized by DFT (GGA-PBE).

Largest 12 diffraction maxima, low angle first, 10° ≤ 2θ ≤ 90°:
hkl	two_theta	I/Imax
2 0 0	12.49	26
2 0 1	20.26	22
1 1 0	22.15	41
2 0 -2	23.50	23
4 0 -1	23.96	24
3 1 -1	28.43	31
1 1 -2	31.63	100
3 1 1	33.60	28
5 1 -1	36.83	24
0 2 0	43.24	17
7 1 -2	48.65	16
3 1 3	52.74	16

```
data_Rb2Li2CeS4
_chemical_formula_sum 'Rb4 Li4 Ce2 S8'
_symmetry_space_group_name_H-M 'C 1 2/m 1'
_symmetry_Int_Tables_number 12
_cell_length_a 15.0469
_cell_length_b 4.1850
_cell_length_c 7.7016
_cell_angle_alpha 90.00
_cell_angle_beta 109.67
_cell_angle_gamma 90.00
loop_
_symmetry_equiv_pos_as_xyz
'x,y,z'
'-x,-y,-z'
'-x,y,-z'
'x,-y,z'
'x+1/2,y+1/2,z'
'-x+1/2,-y+1/2,-z'
'-x+1/2,y+1/2,-z'
'x+1/2,-y+1/2,z'
loop_
_atom_site_label
_atom_site_fract_x
_atom_site_fract_y
_atom_site_fract_z
Rb1 0.1390 0.0000 0.0649
Li1 0.1810 0.5000 0.4886
Ce1 0.0000 0.0000 0.5000
S1 0.0170 0.5000 0.2772
S2 0.1926 0.0000 0.6559
```

# 2
Tb8DyEr4: computed PXRD pattern (Cu Kα X-rays), based on a structure optimized by DFT (GGA-PBE).

Largest 12 diffraction maxima, low angle first, 10° ≤ 2θ ≤ 90°:
hkl	two_theta	I/Imax
0 2 1	28.74	16
0 0 9	29.30	32
0 2 4	31.45	100
2 0 5	32.98	38
1 0 10	35.74	8
2 0 8	38.99	32
2 2 0	50.58	30
0 2 13	52.30	15
2 2 9	59.53	20
4 0 4	60.78	16
0 4 5	61.71	7
2 4 4	82.92	16

```
data_Tb8DyEr4
_chemical_formula_sum 'Tb24 Dy3 Er12'
_symmetry_space_group_name_H-M 'R -3 m'
_symmetry_Int_Tables_number 166
_symmetry_space_group_name_Hall '-R 3 2"'
_cell_length_a 7.2189
_cell_length_b 7.2189
_cell_length_c 27.4357
_cell_angle_alpha 90.00
_cell_angle_beta 90.00
_cell_angle_gamma 120.00
loop_
_atom_site_label
_atom_site_fract_x
_atom_site_fract_y
_atom_site_fract_z
Tb1 0.0000 0.0000 0.2153
Tb2 0.0341 0.5170 0.7662
Dy1 0.0000 0.0000 0.5000
Er1 0.0000 0.0000 0.0000
Er2 0.0000 0.5000 0.0000
```

# 3
MnPtSe2: computed PXRD pattern (Cu Kα X-rays), based on a structure optimized by DFT (GGA-PBE).

Largest 12 diffraction maxima, low angle first, 10° ≤ 2θ ≤ 90°:
hkl	two_theta	I/Imax
0 0 1	15.46	100
1 0 0	22.58	30
1 0 1	27.48	91
1 1 1	35.85	80
1 0 2	38.87	18
1 1 2	45.42	85
2 0 0	46.10	43
2 0 1	48.91	21
2 1 1	54.51	28
2 0 3	68.43	17
3 1 1	78.62	16
3 1 2	84.91	28

```
data_MnPtSe2
_chemical_formula_sum 'Mn1 Pt1 Se2'
_symmetry_space_group_name_H-M 'P -4 m 2'
_symmetry_Int_Tables_number 115
_cell_length_a 3.9379
_cell_length_b 3.9379
_cell_length_c 5.7307
_cell_angle_alpha 90.00
_cell_angle_beta 90.00
_cell_angle_gamma 90.00
loop_
_symmetry_equiv_pos_as_xyz
'x,y,z'
'y,-x,-z'
'-x,-y,z'
'-y,x,-z'
'-x,y,z'
'-y,-x,-z'
'x,-y,z'
'y,x,-z'
loop_
_atom_site_label
_atom_site_fract_x
_atom_site_fract_y
_atom_site_fract_z
Mn1 0.0000 0.0000 0.0000
Pt1 0.5000 0.5000 0.0000
Se1 0.0000 0.5000 0.2778
```

# 4
TlCuAsS3: computed PXRD pattern (Cu Kα X-rays), based on a structure optimized by DFT (GGA-PBE).

Largest 12 diffraction maxima, low angle first, 10° ≤ 2θ ≤ 90°:
hkl	two_theta	I/Imax
0 0 2	17.65	39
0 2 2	22.12	73
1 1 1	26.18	50
0 4 1	28.10	25
1 3 0	31.12	54
1 3 1	32.40	100
0 0 4	35.74	49
1 1 3	36.56	34
1 3 3	41.41	58
1 3 4	48.10	28
1 7 0	53.83	27
1 3 5	55.82	26

```
data_TlCuAsS3
_chemical_formula_sum 'Tl4 Cu4 As4 S12'
_symmetry_space_group_name_H-M 'C m c m'
_symmetry_Int_Tables_number 63
_symmetry_space_group_name_Hall '-C 2c 2'
_cell_length_a 3.7568
_cell_length_b 13.3886
_cell_length_c 10.0496
_cell_angle_alpha 90.00
_cell_angle_beta 90.00
_cell_angle_gamma 90.00
loop_
_atom_site_label
_atom_site_fract_x
_atom_site_fract_y
_atom_site_fract_z
Tl1 0.0000 0.2238 0.2500
Cu1 0.0000 0.0904 0.7500
As1 0.0000 0.5000 0.0000
S1 0.0000 0.1277 0.5314
S2 0.0000 0.4791 0.7500
```

# 5
AgAsPd: computed PXRD pattern (Cu Kα X-rays), based on a structure optimized by DFT (GGA-PBE).

Largest 12 diffraction maxima, low angle first, 10° ≤ 2θ ≤ 90°:
hkl	two_theta	I/Imax
0 0 1	13.66	4
0 0 2	27.52	5
1 0 1	36.50	100
0 0 3	41.81	19
0 1 2	44.03	55
1 0 3	54.73	5
1 1 0	60.24	22
1 0 4	67.70	15
0 2 1	72.54	13
1 1 3	76.01	18
2 0 2	77.57	10
0 1 5	82.83	6

```
data_AgAsPd
_chemical_formula_sum 'Ag1 As1 Pd1'
_symmetry_space_group_name_H-M 'P 3 m 1'
_symmetry_Int_Tables_number 156
_cell_length_a 3.0724
_cell_length_b 3.0724
_cell_length_c 6.4816
_cell_angle_alpha 90.00
_cell_angle_beta 90.00
_cell_angle_gamma 120.00
loop_
_symmetry_equiv_pos_as_xyz
'x,y,z'
'-y,x-y,z'
'-x+y,-x,z'
'-y,-x,z'
'-x+y,y,z'
'x,x-y,z'
loop_
_atom_site_label
_atom_site_fract_x
_atom_site_fract_y
_atom_site_fract_z
Ag1 0.0000 0.0000 0.0000
As1 0.3333 0.6667 0.6285
Pd1 0.6667 0.3333 0.3504
```

# 6
TmPuSc4: computed PXRD pattern (Cu Kα X-rays), based on a structure optimized by DFT (GGA-PBE).

Largest 12 diffraction maxima, low angle first, 10° ≤ 2θ ≤ 90°:
hkl	two_theta	I/Imax
0 2 0	10.25	84
0 2 1	13.18	72
0 4 1	22.22	25
1 1 1	28.78	36
0 6 1	32.25	25
1 3 1	32.37	32
0 0 4	33.52	49
0 6 2	35.43	52
1 3 2	35.57	100
1 9 0	55.41	23
0 6 6	61.23	30
1 9 4	66.34	26

```
data_TmPuSc4
_chemical_formula_sum 'Tm4 Pu4 Sc16'
_symmetry_space_group_name_H-M 'C m c 21'
_symmetry_Int_Tables_number 36
_cell_length_a 3.3005
_cell_length_b 17.2595
_cell_length_c 10.6942
_cell_angle_alpha 90.00
_cell_angle_beta 90.00
_cell_angle_gamma 90.00
loop_
_symmetry_equiv_pos_as_xyz
'x,y,z'
'-x,-y,z+1/2'
'-x,y,z'
'x,-y,z+1/2'
'x+1/2,y+1/2,z'
'-x+1/2,-y+1/2,z+1/2'
'-x+1/2,y+1/2,z'
'x+1/2,-y+1/2,z+1/2'
loop_
_atom_site_label
_atom_site_fract_x
_atom_site_fract_y
_atom_site_fract_z
Tm1 0.0000 0.2222 0.0000
Pu1 0.0000 0.3356 0.2475
Sc1 0.0000 0.0003 0.2535
Sc2 0.0000 0.1071 0.5026
Sc3 0.0000 0.3352 0.7541
Sc4 0.0000 0.4454 0.5021
```

# 7
Pr3PtCl3: computed PXRD pattern (Cu Kα X-rays), based on a structure optimized by DFT (GGA-PBE).

Largest 12 diffraction maxima, low angle first, 10° ≤ 2θ ≤ 90°:
hkl	two_theta	I/Imax
1 1 0	10.42	100
3 1 0	23.44	20
4 0 0	29.78	84
4 1 1	31.63	17
5 1 0	38.24	25
4 4 0	42.61	61
5 4 1	49.20	13
4 4 4	52.85	21
5 5 0	54.03	12
8 0 0	61.84	9
8 4 0	70.13	25
8 4 4	78.01	18

```
data_Pr3PtCl3
_chemical_formula_sum 'Pr24 Pt8 Cl24'
_symmetry_space_group_name_H-M 'I 41 3 2'
_symmetry_Int_Tables_number 214
_symmetry_space_group_name_Hall 'I 4bd 2c 3'
_cell_length_a 12.0017
_cell_length_b 12.0017
_cell_length_c 12.0017
_cell_angle_alpha 90.00
_cell_angle_beta 90.00
_cell_angle_gamma 90.00
loop_
_atom_site_label
_atom_site_fract_x
_atom_site_fract_y
_atom_site_fract_z
Pr1 0.1145 0.3645 0.1250
Pt1 0.1250 0.1250 0.1250
Cl1 0.1236 0.3750 0.3736
```